# 1
Diffraction record for LiMg14CoO16. The XRD peak list is theoretical, not measured: it uses a GGA+U-relaxed structure and Cu Kα, 1.54184 Å.

Largest 12 diffraction maxima, by angle, 2θ = 15–90°:
- 2θ 23.5, I = 9.3
- 2θ 25.8, I = 7.9
- 2θ 31.7, I = 5.0
- 2θ 33.4, I = 2.5
- 2θ 36.7, I = 18.5
- 2θ 42.5, I = 49.9
- 2θ 42.7, I = 100.0
- 2θ 61.9, I = 55.4
- 2θ 62.0, I = 27.9
- 2θ 74.0, I = 4.2
- 2θ 74.3, I = 8.0
- 2θ 78.1, I = 24.9

Crystal structure
abc: 4.231 8.473 8.501
angles: 90.00 90.00 90.00
Space group Pmmm (No. 47)
Asymmetric unit:
Li: 0.000 0.000 0.000 (multiplicity 1)
Mg: 0.000 0.247 0.245 (multiplicity 4)
Mg: 0.000 0.500 0.000 (multiplicity 1)
Mg: 0.000 0.500 0.500 (multiplicity 1)
Mg: 0.500 0.000 0.244 (multiplicity 2)
Mg: 0.500 0.244 0.000 (multiplicity 2)
Mg: 0.500 0.248 0.500 (multiplicity 2)
Mg: 0.500 0.500 0.248 (multiplicity 2)
Co: 0.000 0.000 0.500 (multiplicity 1)
O: 0.000 0.000 0.272 (multiplicity 2)
O: 0.000 0.238 0.500 (multiplicity 2)
O: 0.000 0.254 0.000 (multiplicity 2)
O: 0.000 0.500 0.255 (multiplicity 2)
O: 0.500 0.000 0.000 (multiplicity 1)
O: 0.500 0.000 0.500 (multiplicity 1)
O: 0.500 0.249 0.252 (multiplicity 4)
O: 0.500 0.500 0.000 (multiplicity 1)
O: 0.500 0.500 0.500 (multiplicity 1)

# 2
Diffraction record for LiMn3O2F6. The XRD peak list is theoretical, not measured: it uses a GGA+U-relaxed structure and Cu Kα, 1.54184 Å.

Largest 12 diffraction maxima, by angle, 2θ = 15–90°:
- 2θ 23.7, I = 100.0
- 2θ 26.0, I = 83.8
- 2θ 29.1, I = 92.7
- 2θ 29.6, I = 72.7
- 2θ 31.1, I = 61.0
- 2θ 31.4, I = 68.1
- 2θ 39.7, I = 54.0
- 2θ 40.0, I = 51.1
- 2θ 42.7, I = 42.3
- 2θ 51.4, I = 43.8
- 2θ 52.1, I = 42.6
- 2θ 52.3, I = 43.7

Crystal structure
abc: 5.202 6.986 7.643
angles: 100.59 90.94 90.37
Space group P-1 (No. 2)
Asymmetric unit:
Li: 0.220 0.332 0.158 (multiplicity 2)
Mn: 0.246 0.329 0.670 (multiplicity 2)
Mn: 0.264 0.814 0.682 (multiplicity 2)
Mn: 0.281 0.834 0.179 (multiplicity 2)
O: 0.107 0.575 0.691 (multiplicity 2)
O: 0.409 0.078 0.696 (multiplicity 2)
F: 0.043 0.298 0.907 (multiplicity 2)
F: 0.090 0.075 0.197 (multiplicity 2)
F: 0.097 0.811 0.436 (multiplicity 2)
F: 0.409 0.311 0.434 (multiplicity 2)
F: 0.420 0.575 0.183 (multiplicity 2)
F: 0.430 0.811 0.921 (multiplicity 2)

What did the first record say?
Diffraction record for LiMg14CoO16. The XRD peak list is theoretical, not measured: it uses a GGA+U-relaxed structure and Cu Kα, 1.54184 Å.

Largest 12 diffraction maxima, by angle, 2θ = 15–90°:
- 2θ 23.5, I = 9.3
- 2θ 25.8, I = 7.9
- 2θ 31.7, I = 5.0
- 2θ 33.4, I = 2.5
- 2θ 36.7, I = 18.5
- 2θ 42.5, I = 49.9
- 2θ 42.7, I = 100.0
- 2θ 61.9, I = 55.4
- 2θ 62.0, I = 27.9
- 2θ 74.0, I = 4.2
- 2θ 74.3, I = 8.0
- 2θ 78.1, I = 24.9

Crystal structure
abc: 4.231 8.473 8.501
angles: 90.00 90.00 90.00
Space group Pmmm (No. 47)
Asymmetric unit:
Li: 0.000 0.000 0.000 (multiplicity 1)
Mg: 0.000 0.247 0.245 (multiplicity 4)
Mg: 0.000 0.500 0.000 (multiplicity 1)
Mg: 0.000 0.500 0.500 (multiplicity 1)
Mg: 0.500 0.000 0.244 (multiplicity 2)
Mg: 0.500 0.244 0.000 (multiplicity 2)
Mg: 0.500 0.248 0.500 (multiplicity 2)
Mg: 0.500 0.500 0.248 (multiplicity 2)
Co: 0.000 0.000 0.500 (multiplicity 1)
O: 0.000 0.000 0.272 (multiplicity 2)
O: 0.000 0.238 0.500 (multiplicity 2)
O: 0.000 0.254 0.000 (multiplicity 2)
O: 0.000 0.500 0.255 (multiplicity 2)
O: 0.500 0.000 0.000 (multiplicity 1)
O: 0.500 0.000 0.500 (multiplicity 1)
O: 0.500 0.249 0.252 (multiplicity 4)
O: 0.500 0.500 0.000 (multiplicity 1)
O: 0.500 0.500 0.500 (multiplicity 1)

- Which formula does entry 1 have?
  LiMg14CoO16